Entry 1:
Ba8Ce7YHO24: simulated XRD peak list (Cu Kα), based on a PBE-relaxed structure.
Peak positions follow from Bragg's law for the DFT cell and can differ from measured ones.

Top 10 peaks for 10° ≤ 2θ ≤ 80°, sorted by position:
two_theta	I/Imax
28.2	93
28.4	93
28.6	100
40.1	28
40.5	26
41.1	24
49.9	41
50.2	41
50.6	31
58.8	15

Crystal structure
Cell lengths 6.325, 6.335, 17.554 Å; angles 90.00, 89.91, 89.33 degrees
Atoms (fractional coordinates):
1 Ba 0.000 0.000 0.000
2 Ba 0.006 0.000 0.500
3 Ba 0.035 0.983 0.751
4 Ba 0.048 0.005 0.263
5 Ba 0.479 0.479 0.262
6 Ba 0.495 0.478 0.501
7 Ba 0.508 0.481 0.001
8 Ba 0.532 0.497 0.751
9 Ce 0.013 0.492 0.626
10 Ce 0.015 0.490 0.877
11 Ce 0.017 0.483 0.128
12 Ce 0.506 0.994 0.127
13 Ce 0.517 0.989 0.627
14 Ce 0.517 0.989 0.877
15 Ce 0.518 0.985 0.378
16 Y 0.005 0.495 0.378
17 H 0.765 0.743 0.234
18 O 0.006 0.569 0.503
19 O 0.013 0.412 0.753
20 O 0.051 0.417 0.249
21 O 0.244 0.218 0.603
22 O 0.251 0.226 0.903
23 O 0.254 0.230 0.099
24 O 0.261 0.233 0.396
25 O 0.269 0.739 0.365
26 O 0.274 0.729 0.140
27 O 0.284 0.723 0.863
28 O 0.288 0.719 0.646
29 O 0.473 0.063 0.249
30 O 0.488 0.068 0.754
31 O 0.550 0.906 0.503
32 O 0.555 0.907 0.005
33 O 0.741 0.262 0.610
34 O 0.750 0.254 0.896
35 O 0.754 0.246 0.110
36 O 0.758 0.239 0.391
37 O 0.764 0.743 0.338
38 O 0.768 0.746 0.177
39 O 0.783 0.757 0.853
40 O 0.786 0.761 0.653
41 O 0.986 0.570 0.005

---

Entry 2:
BaCeH6Pt2: simulated XRD peak list (Cu Kα), based on a PBE-relaxed structure.
Peak positions follow from Bragg's law for the DFT cell and can differ from measured ones.

Top 10 peaks for 10° ≤ 2θ ≤ 80°, sorted by position:
two_theta	I/Imax
26.2	100
29.3	34
36.5	21
38.1	19
38.9	29
40.5	29
48.8	25
53.8	15
59.7	12
69.4	12

Crystal structure
Cell lengths 6.823, 6.823, 7.635 Å; angles 115.82, 115.82, 87.52 degrees
Atoms (fractional coordinates):
1 Ba 0.115 0.885 0.750
2 Ba 0.885 0.115 0.250
3 Ce 0.381 0.619 0.250
4 Ce 0.619 0.381 0.750
5 H 0.084 0.774 0.326
6 H 0.196 0.277 0.178
7 H 0.226 0.916 0.174
8 H 0.277 0.196 0.678
9 H 0.361 0.604 0.898
10 H 0.396 0.639 0.602
11 H 0.604 0.361 0.398
12 H 0.639 0.396 0.102
13 H 0.723 0.804 0.322
14 H 0.774 0.084 0.826
15 H 0.804 0.723 0.822
16 H 0.916 0.226 0.674
17 Pt 0.148 0.403 0.789
18 Pt 0.403 0.148 0.289
19 Pt 0.597 0.852 0.711
20 Pt 0.852 0.597 0.211

---

Entry 3:
Ba3CeHf2O9: simulated XRD peak list (Cu Kα), based on a PBE-relaxed structure.
Peak positions follow from Bragg's law for the DFT cell and can differ from measured ones.

Top 10 peaks for 10° ≤ 2θ ≤ 80°, sorted by position:
two_theta	I/Imax
20.7	4
29.4	100
42.1	29
47.3	2
52.1	10
52.2	31
61.0	9
61.1	9
69.2	18
77.0	5

Crystal structure
Cell lengths 6.066, 6.066, 7.451 Å; angles 90.00, 90.00, 120.00 degrees
Atoms (fractional coordinates):
1 Ba 0.000 0.000 0.000
2 Ba 0.333 0.667 0.670
3 Ba 0.667 0.333 0.330
4 Ce 0.000 0.000 0.500
5 Hf 0.333 0.667 0.159
6 Hf 0.667 0.333 0.841
7 O 0.000 0.500 0.000
8 O 0.173 0.345 0.323
9 O 0.173 0.827 0.323
10 O 0.345 0.173 0.677
11 O 0.500 0.000 0.000
12 O 0.500 0.500 0.000
13 O 0.655 0.827 0.323
14 O 0.827 0.173 0.677
15 O 0.827 0.655 0.677

---

Entry 4:
BaCeHg17: simulated XRD peak list (Cu Kα), based on a PBE-relaxed structure.
Peak positions follow from Bragg's law for the DFT cell and can differ from measured ones.

Top 10 peaks for 10° ≤ 2θ ≤ 80°, sorted by position:
two_theta	I/Imax
28.7	24
30.3	22
30.5	31
32.5	19
34.2	100
35.2	14
38.7	13
54.3	17
56.4	13
63.4	13

Crystal structure
Cell lengths 8.308, 8.308, 8.308 Å; angles 75.22, 75.22, 75.22 degrees
Atoms (fractional coordinates):
1 Ba 0.000 0.000 0.000
2 Ce 0.322 0.322 0.322
3 Hg 0.055 0.055 0.414
4 Hg 0.055 0.414 0.055
5 Hg 0.065 0.705 0.705
6 Hg 0.295 0.295 0.738
7 Hg 0.295 0.738 0.295
8 Hg 0.340 0.638 0.948
9 Hg 0.340 0.948 0.638
10 Hg 0.414 0.055 0.055
11 Hg 0.525 0.525 0.525
12 Hg 0.638 0.340 0.948
13 Hg 0.638 0.948 0.340
14 Hg 0.697 0.697 0.697
15 Hg 0.705 0.065 0.705
16 Hg 0.705 0.705 0.065
17 Hg 0.738 0.295 0.295
18 Hg 0.948 0.340 0.638
19 Hg 0.948 0.638 0.340

---

Entry 5:
BaCeHg: simulated XRD peak list (Cu Kα), based on a PBE-relaxed structure.
Peak positions follow from Bragg's law for the DFT cell and can differ from measured ones.

Top 10 peaks for 10° ≤ 2θ ≤ 80°, sorted by position:
two_theta	I/Imax
24.3	70
26.2	58
29.3	61
33.4	27
36.6	100
42.1	69
53.5	19
57.0	28
61.9	20
73.3	27

Crystal structure
Cell lengths 14.412, 14.412, 14.412 Å; angles 17.12, 17.12, 17.12 degrees
Atoms (fractional coordinates):
1 Ba 0.119 0.119 0.119
2 Ba 0.881 0.881 0.881
3 Ce 0.348 0.348 0.348
4 Ce 0.652 0.652 0.652
5 Hg 0.269 0.269 0.269
6 Hg 0.731 0.731 0.731

---

Entry 6:
BaCeHg3: simulated XRD peak list (Cu Kα), based on a PBE-relaxed structure.
Peak positions follow from Bragg's law for the DFT cell and can differ from measured ones.

Top 10 peaks for 10° ≤ 2θ ≤ 80°, sorted by position:
two_theta	I/Imax
22.5	24
29.8	100
30.3	33
34.1	75
35.2	53
39.0	41
45.6	21
47.2	20
58.1	47
58.9	20

Crystal structure
Cell lengths 15.482, 15.482, 5.090 Å; angles 90.00, 90.00, 165.23 degrees
Atoms (fractional coordinates):
1 Ba 0.077 0.923 0.750
2 Ba 0.923 0.077 0.250
3 Ce 0.210 0.790 0.250
4 Ce 0.790 0.210 0.750
5 Hg 0.315 0.685 0.250
6 Hg 0.374 0.626 0.750
7 Hg 0.474 0.526 0.750
8 Hg 0.526 0.474 0.250
9 Hg 0.626 0.374 0.250
10 Hg 0.685 0.315 0.750

---

Entry 7:
Ba2CeHoS6: simulated XRD peak list (Cu Kα), based on a PBE-relaxed structure.
Peak positions follow from Bragg's law for the DFT cell and can differ from measured ones.

Top 10 peaks for 10° ≤ 2θ ≤ 80°, sorted by position:
two_theta	I/Imax
23.5	41
24.0	94
24.1	93
24.6	44
34.3	100
38.7	18
41.6	26
42.0	24
42.9	41
43.1	29

Crystal structure
Cell lengths 7.231, 7.584, 12.655 Å; angles 90.00, 124.43, 90.00 degrees
Atoms (fractional coordinates):
1 Ba 0.228 0.064 0.250
2 Ba 0.228 0.436 0.750
3 Ba 0.772 0.564 0.250
4 Ba 0.772 0.936 0.750
5 Ce 0.500 0.000 0.000
6 Ce 0.500 0.500 0.500
7 Ho 0.000 0.000 0.500
8 Ho 0.000 0.500 0.000
9 S 0.157 0.206 0.955
10 S 0.157 0.294 0.455
11 S 0.251 0.707 0.954
12 S 0.251 0.793 0.454
13 S 0.336 0.022 0.749
14 S 0.336 0.478 0.249
15 S 0.664 0.522 0.751
16 S 0.664 0.978 0.251
17 S 0.749 0.207 0.546
18 S 0.749 0.293 0.046
19 S 0.843 0.706 0.545
20 S 0.843 0.794 0.045

---

Entry 8:
BaCeIO6: simulated XRD peak list (Cu Kα), based on a PBE-relaxed structure.
Peak positions follow from Bragg's law for the DFT cell and can differ from measured ones.

Top 10 peaks for 10° ≤ 2θ ≤ 80°, sorted by position:
two_theta	I/Imax
15.8	17
23.8	100
30.7	44
31.9	11
39.2	24
44.9	46
50.6	25
52.2	10
54.7	14
64.7	10

Crystal structure
Cell lengths 5.816, 5.816, 5.603 Å; angles 90.00, 90.00, 120.00 degrees
Atoms (fractional coordinates):
1 Ba 0.000 0.000 0.000
2 Ce 0.333 0.667 0.500
3 I 0.667 0.333 0.500
4 O 0.395 0.036 0.700
5 O 0.395 0.359 0.300
6 O 0.641 0.036 0.300
7 O 0.641 0.605 0.700
8 O 0.964 0.359 0.700
9 O 0.964 0.605 0.300

---

Entry 9:
BaCe2In9: simulated XRD peak list (Cu Kα), based on a PBE-relaxed structure.
Peak positions follow from Bragg's law for the DFT cell and can differ from measured ones.

Top 10 peaks for 10° ≤ 2θ ≤ 80°, sorted by position:
two_theta	I/Imax
32.2	100
36.3	2
37.4	50
53.9	33
57.8	1
59.0	1
64.2	37
67.4	11
70.9	1
79.7	5

Crystal structure
Cell lengths 4.809, 4.809, 14.442 Å; angles 90.00, 90.00, 90.00 degrees
Atoms (fractional coordinates):
1 Ba 0.000 0.000 0.000
2 Ce 0.000 0.000 0.342
3 Ce 0.000 0.000 0.658
4 In 0.000 0.500 0.179
5 In 0.000 0.500 0.500
6 In 0.000 0.500 0.821
7 In 0.500 0.000 0.179
8 In 0.500 0.000 0.500
9 In 0.500 0.000 0.821
10 In 0.500 0.500 0.000
11 In 0.500 0.500 0.338
12 In 0.500 0.500 0.662

---

Entry 10:
Ba3CeIn2O8: simulated XRD peak list (Cu Kα), based on a PBE-relaxed structure.
Peak positions follow from Bragg's law for the DFT cell and can differ from measured ones.

Top 10 peaks for 10° ≤ 2θ ≤ 80°, sorted by position:
two_theta	I/Imax
28.1	80
28.7	100
40.6	42
49.3	16
50.4	32
50.8	20
58.0	13
59.4	16
66.0	13
67.0	14

Crystal structure
Cell lengths 6.223, 6.223, 7.871 Å; angles 90.00, 90.00, 120.00 degrees
Atoms (fractional coordinates):
1 Ba 0.000 0.000 0.000
2 Ba 0.333 0.667 0.638
3 Ba 0.667 0.333 0.362
4 Ce 0.000 0.000 0.500
5 In 0.333 0.667 0.196
6 In 0.667 0.333 0.804
7 O 0.164 0.328 0.327
8 O 0.164 0.836 0.327
9 O 0.328 0.164 0.673
10 O 0.333 0.667 0.943
11 O 0.667 0.333 0.057
12 O 0.672 0.836 0.327
13 O 0.836 0.164 0.673
14 O 0.836 0.672 0.673

---

Entry 11:
Ba3CeIn2O9: simulated XRD peak list (Cu Kα), based on a PBE-relaxed structure.
Peak positions follow from Bragg's law for the DFT cell and can differ from measured ones.

Top 10 peaks for 10° ≤ 2θ ≤ 80°, sorted by position:
two_theta	I/Imax
29.1	100
35.9	2
41.6	30
51.5	10
51.6	31
60.2	9
60.4	10
68.3	9
68.4	9
76.0	5

Crystal structure
Cell lengths 6.132, 6.132, 7.536 Å; angles 90.00, 90.00, 120.00 degrees
Atoms (fractional coordinates):
1 Ba 0.000 0.000 0.000
2 Ba 0.333 0.667 0.682
3 Ba 0.667 0.333 0.318
4 Ce 0.000 0.000 0.500
5 In 0.333 0.667 0.165
6 In 0.667 0.333 0.835
7 O 0.000 0.500 0.000
8 O 0.167 0.334 0.329
9 O 0.167 0.833 0.329
10 O 0.334 0.167 0.671
11 O 0.500 0.000 0.000
12 O 0.500 0.500 0.000
13 O 0.666 0.833 0.329
14 O 0.833 0.167 0.671
15 O 0.833 0.666 0.671

---

Entry 12:
BaCeInSbO6: simulated XRD peak list (Cu Kα), based on a PBE-relaxed structure.
Peak positions follow from Bragg's law for the DFT cell and can differ from measured ones.

Top 8 peaks for 10° ≤ 2θ ≤ 80°, sorted by position:
two_theta	I/Imax
20.8	1
29.5	100
36.4	1
42.2	30
52.4	40
61.3	19
69.5	18
77.3	6

Crystal structure
Cell lengths 6.050, 6.050, 6.050 Å; angles 60.00, 60.00, 60.00 degrees
Atoms (fractional coordinates):
1 Ba 0.000 0.000 0.000
2 Ce 0.750 0.750 0.750
3 In 0.500 0.500 0.500
4 Sb 0.250 0.250 0.250
5 O 0.013 0.013 0.487
6 O 0.013 0.487 0.013
7 O 0.013 0.487 0.487
8 O 0.487 0.013 0.013
9 O 0.487 0.013 0.487
10 O 0.487 0.487 0.013